Calculated powder diffractogram of Ho3S4 for Cu Kα (λ = 1.5418 Å), from a crystal structure in Alexandria, relaxed with PBE.
Intensities are scaled so that the largest is 100.

Structure:
```
data_Ho3S4
_cell_length_a 7.8202
_cell_length_b 10.8491
_cell_length_c 3.9067
_cell_angle_alpha 90.00
_cell_angle_beta 90.00
_cell_angle_gamma 90.00
_symmetry_space_group_name_H-M 'C m m m'
_symmetry_Int_Tables_number 65
_symmetry_space_group_name_Hall '-C 2 2'
loop_
_atom_site_label
_atom_site_fract_x
_atom_site_fract_y
_atom_site_fract_z
_atom_site_occupancy
Ho1 0.0000 0.0000 0.0000 1
Ho2 0.2500 0.2500 0.5000 1
S1 0.0000 0.2530 0.0000 1
S2 0.2417 0.0000 0.5000 1
```

Principal peaks in the range 2θ from 10° to 80°, in order of rising 2θ:
hkl	2theta	intensity
1 1 0	13.96	53
0 2 0	16.34	18
1 1 1	26.80	21
2 2 0	28.14	92
2 0 1	32.40	100
0 4 0	33.03	47
0 0 2	46.47	36
2 4 1	46.94	70
4 2 1	55.21	31
0 4 2	58.19	36